# Ca3Co3As4O16
Calculated X-ray powder pattern, λ = 1.5418 Å (Cu Kα). Input: a DFT-relaxed cell (GGA+U, the Materials Project).

Top 10 peaks for 15 to 90 degrees two-theta, by angle:
| h k l | 2θ/deg | I (rel.) |
| --- | --- | --- |
| 0 1 1 | 18.1 | 28 |
| 2 0 0 | 21.6 | 32 |
| 0 0 4 | 23.1 | 24 |
| 2 0 -4 | 23.3 | 51 |
| 2 1 -1 | 26.2 | 81 |
| 1 1 3 | 29.8 | 67 |
| 1 1 -5 | 31.2 | 43 |
| 3 1 -3 | 34.0 | 100 |
| 0 2 0 | 34.7 | 58 |
| 3 0 2 | 39.5 | 28 |

Cell and atoms:
```
data_Ca3Co3As4O16
_space_group_name_H-M_alt 'P 1 21/c 1'
_space_group_IT_number 14
_cell_length_a 9.2460
_cell_length_b 5.1698
_cell_length_c 17.2719
_cell_angle_alpha 90.00
_cell_angle_beta 117.01
_cell_angle_gamma 90.00
loop_
_space_group_symop_operation_xyz
'x,y,z'
'-x,-y,-z'
'-x,y+1/2,-z+1/2'
'x,-y+1/2,z+1/2'
loop_
_atom_site_label
_atom_site_type_symbol
_atom_site_fract_x
_atom_site_fract_y
_atom_site_fract_z
Ca1 Ca 0.0000 0.0000 0.0000
Ca2 Ca 0.3096 0.0374 0.2685
Co1 Co 0.2006 0.5233 0.3781
Co2 Co 0.5000 0.0000 0.5000
As1 As 0.0382 0.5089 0.1577
As2 As 0.4359 0.5097 0.5958
O1 O 0.0286 0.6576 0.6421
O2 O 0.1015 0.1552 0.5942
O3 O 0.1474 0.5957 0.8515
O4 O 0.1880 0.0538 0.7628
O5 O 0.2524 0.5529 0.5063
O6 O 0.4214 0.2012 0.9193
O7 O 0.4368 0.6160 0.6885
O8 O 0.4886 0.6991 0.8961
```